1.
Diffraction record for Th4FePtSe2. The X-ray powder pattern is computed, not measured: it uses the GGA-PBE geometry in Alexandria and Cu Kα.
Peak positions follow from Bragg's law for the DFT cell and can differ from measured ones.

Structural model:
a b c (Å): 7.0754 4.1291 7.6233
angles (deg): 90.00 106.94 90.00
Fractional positions:
Th 0.2303 0.0000 0.2147
Th 0.2384 0.5000 0.7856
Th 0.7616 0.5000 0.2144
Th 0.7697 0.0000 0.7853
Fe 0.0000 0.5000 0.0000
Pt 0.5000 0.0000 0.0000
Se 0.0000 0.0000 0.5000
Se 0.5000 0.5000 0.5000

The 10 most intense peaks (2θ = 10–90°), sorted by position:
12.14 deg, I 20; 26.35 deg, I 26; 29.78 deg, I 100; 30.35 deg, I 44; 41.35 deg, I 18; 41.82 deg, I 31; 43.85 deg, I 19; 44.23 deg, I 34; 54.24 deg, I 26; 61.85 deg, I 11

---

2.
Diffraction record for ThU2C3. The X-ray powder pattern is computed, not measured: it uses the GGA-PBE geometry in Alexandria and Cu Kα.
Peak positions follow from Bragg's law for the DFT cell and can differ from measured ones.

Structural model:
a b c (Å): 6.1577 3.3256 9.1821
angles (deg): 90.00 90.00 90.00
Fractional positions:
Th 0.2500 0.0000 0.0690
Th 0.7500 0.0000 0.9310
U 0.2500 0.0000 0.7100
U 0.2500 0.5000 0.3961
U 0.7500 0.0000 0.2900
U 0.7500 0.5000 0.6039
C 0.0000 0.0000 0.5000
C 0.0059 0.5000 0.8091
C 0.4941 0.5000 0.8091
C 0.5000 0.0000 0.5000
C 0.5059 0.5000 0.1909
C 0.9941 0.5000 0.1909

The 10 most intense peaks (2θ = 10–90°), sorted by position:
28.55 deg, I 35; 29.00 deg, I 74; 32.10 deg, I 39; 32.67 deg, I 93; 36.41 deg, I 100; 41.15 deg, I 34; 53.77 deg, I 23; 56.36 deg, I 29; 65.50 deg, I 23; 65.68 deg, I 26

---

3.
Diffraction record for Cu2SiPt. The X-ray powder pattern is computed, not measured: it uses the GGA-PBE geometry in Alexandria and Cu Kα.
Peak positions follow from Bragg's law for the DFT cell and can differ from measured ones.

Structural model:
a b c (Å): 4.5779 4.5779 4.3800
angles (deg): 107.75 107.75 37.81
Fractional positions:
Cu 0.0000 0.0000 0.0000
Cu 0.2421 0.2421 0.8271
Si 0.7216 0.7216 0.3335
Pt 0.4591 0.4591 0.4728

The 10 most intense peaks (2θ = 10–90°), sorted by position:
21.43 deg, I 24; 21.68 deg, I 57; 25.15 deg, I 26; 32.09 deg, I 37; 35.40 deg, I 23; 36.81 deg, I 40; 40.93 deg, I 100; 42.02 deg, I 42; 44.18 deg, I 37; 45.23 deg, I 79

---

4.
Diffraction record for KCd5In. The X-ray powder pattern is computed, not measured: it uses the GGA-PBE geometry in Alexandria and Cu Kα.
Peak positions follow from Bragg's law for the DFT cell and can differ from measured ones.

Structural model:
a b c (Å): 9.6069 6.2872 12.2372
angles (deg): 90.00 90.00 90.00
Fractional positions:
K 0.2428 0.2500 0.0620
K 0.2572 0.7500 0.5620
K 0.7428 0.2500 0.4380
K 0.7572 0.7500 0.9380
Cd 0.0725 0.0133 0.3127
Cd 0.0725 0.4867 0.3127
Cd 0.0733 0.7500 0.0928
Cd 0.0917 0.2500 0.5239
Cd 0.1806 0.2500 0.7607
Cd 0.3194 0.7500 0.2607
Cd 0.4083 0.7500 0.0239
Cd 0.4267 0.2500 0.5928
Cd 0.4275 0.5133 0.8127
Cd 0.4275 0.9867 0.8127
Cd 0.5725 0.0133 0.1873
Cd 0.5725 0.4867 0.1873
Cd 0.5733 0.7500 0.4072
Cd 0.5917 0.2500 0.9761
Cd 0.6806 0.2500 0.7393
Cd 0.8194 0.7500 0.2393
Cd 0.9083 0.7500 0.4761
Cd 0.9267 0.2500 0.9072
Cd 0.9275 0.5133 0.6873
Cd 0.9275 0.9867 0.6873
In 0.1314 0.7500 0.8561
In 0.3686 0.2500 0.3561
In 0.6314 0.7500 0.6439
In 0.8686 0.2500 0.1439

The 10 most intense peaks (2θ = 10–90°), sorted by position:
18.36 deg, I 40; 30.67 deg, I 34; 32.18 deg, I 100; 34.89 deg, I 58; 37.28 deg, I 95; 37.68 deg, I 56; 37.94 deg, I 31; 38.19 deg, I 34; 40.80 deg, I 34; 61.41 deg, I 22

---

5.
Diffraction record for Ce4SmBi6. The X-ray powder pattern is computed, not measured: it uses the GGA-PBE geometry in Alexandria and Cu Kα.
Peak positions follow from Bragg's law for the DFT cell and can differ from measured ones.

Structural model:
a b c (Å): 9.0133 9.0133 9.0133
angles (deg): 88.70 88.70 88.70
Fractional positions:
Ce 0.1404 0.7500 0.3596
Ce 0.2500 0.2500 0.2500
Ce 0.2500 0.6404 0.8596
Ce 0.3596 0.1404 0.7500
Ce 0.6404 0.8596 0.2500
Ce 0.7500 0.3596 0.1404
Ce 0.7500 0.7500 0.7500
Ce 0.8596 0.2500 0.6404
Sm 0.0000 0.0000 0.0000
Sm 0.5000 0.5000 0.5000
Bi 0.0659 0.9204 0.6696
Bi 0.0796 0.3304 0.9341
Bi 0.1696 0.4204 0.5659
Bi 0.3304 0.9341 0.0795
Bi 0.4205 0.5659 0.1696
Bi 0.4341 0.8304 0.5796
Bi 0.5659 0.1696 0.4205
Bi 0.5796 0.4341 0.8304
Bi 0.6696 0.0659 0.9204
Bi 0.8304 0.5796 0.4341
Bi 0.9205 0.6696 0.0659
Bi 0.9341 0.0795 0.3304

The 10 most intense peaks (2θ = 10–90°), sorted by position:
22.26 deg, I 27; 27.70 deg, I 41; 30.05 deg, I 100; 31.19 deg, I 100; 31.61 deg, I 23; 33.04 deg, I 93; 35.56 deg, I 34; 37.77 deg, I 45; 60.50 deg, I 35; 64.13 deg, I 28

---

6.
Diffraction record for La3Mn. The X-ray powder pattern is computed, not measured: it uses the GGA-PBE geometry in Alexandria and Cu Kα.
Peak positions follow from Bragg's law for the DFT cell and can differ from measured ones.

Structural model:
a b c (Å): 3.7292 3.7126 9.0469
angles (deg): 90.00 90.06 90.00
Fractional positions:
La 0.0000 0.0000 0.0000
La 0.4994 0.5000 0.2980
La 0.5006 0.5000 0.7020
Mn 0.0000 0.0000 0.5000

The 10 most intense peaks (2θ = 10–90°), sorted by position:
25.84 deg, I 24; 25.94 deg, I 23; 29.62 deg, I 28; 31.08 deg, I 100; 31.17 deg, I 99; 34.08 deg, I 97; 45.77 deg, I 34; 56.56 deg, I 26; 59.08 deg, I 31; 59.24 deg, I 31